# Li2CrO3
Computed powder XRD pattern, copper Kα. Input: a crystal structure in the Materials Project, relaxed with GGA+U.
Intensities are scaled so that the largest is 100.

Atomic structure:
a b c (Å): 5.015 5.015 9.761
angles (deg): 94.73 94.73 118.96
Positions (direct):
1 Li 0.078 0.922 0.500
2 Li 0.254 0.753 0.999
3 Li 0.430 0.588 0.498
4 Li 0.588 0.430 0.998
5 Li 0.670 0.838 0.249
6 Li 0.753 0.254 0.499
7 Li 0.838 0.670 0.749
8 Li 0.922 0.078 0.000
9 Cr 0.000 0.507 0.249
10 Cr 0.167 0.341 0.749
11 Cr 0.341 0.167 0.249
12 Cr 0.507 0.000 0.749
13 O 0.064 0.232 0.360
14 O 0.156 0.625 0.636
15 O 0.232 0.064 0.860
16 O 0.276 0.443 0.138
17 O 0.352 0.883 0.362
18 O 0.443 0.276 0.638
19 O 0.523 0.716 0.863
20 O 0.625 0.156 0.136
21 O 0.716 0.523 0.363
22 O 0.792 0.985 0.635
23 O 0.883 0.352 0.862
24 O 0.985 0.792 0.135

Peak list (6 most intense, 15 to 90 degrees two-theta, by angle)
two_theta  d (Å)  Rel. int.
18.42  4.816  100.0
20.44  4.345  26.7
22.56  3.942  26.2
36.41  2.468  21.0
43.23  2.093  38.2
44.08  2.054  71.0


# Li2Cr2O7
Computed powder XRD pattern, copper Kα. Input: a crystal structure in the Materials Project, relaxed with GGA+U.
Intensities are scaled so that the largest is 100.

Atomic structure:
a b c (Å): 6.509 6.688 7.191
angles (deg): 83.52 67.04 83.83
Positions (direct):
1 Li 0.000 0.000 0.000
2 Li 0.121 0.327 0.560
3 Li 0.628 0.414 0.071
4 Li 0.763 0.614 0.412
5 Cr 0.138 0.468 0.971
6 Cr 0.227 0.826 0.390
7 Cr 0.535 0.906 0.923
8 Cr 0.668 0.169 0.479
9 O 0.054 0.645 0.476
10 O 0.055 0.279 0.880
11 O 0.136 0.017 0.530
12 O 0.267 0.629 0.784
13 O 0.273 0.899 0.119
14 O 0.309 0.382 0.087
15 O 0.474 0.744 0.380
16 O 0.505 0.027 0.707
17 O 0.506 0.298 0.377
18 O 0.649 0.681 0.881
19 O 0.696 0.032 0.982
20 O 0.807 0.328 0.535
21 O 0.841 0.016 0.318
22 O 0.904 0.586 0.130

Peak list (6 most intense, 15 to 90 degrees two-theta, by angle)
two_theta  d (Å)  Rel. int.
19.29  4.601  100.0
20.69  4.294  84.6
27.01  3.301  69.9
27.21  3.278  98.8
29.21  3.058  45.1
29.41  3.037  58.3


# Li3CrO4
Computed powder XRD pattern, copper Kα. Input: a crystal structure in the Materials Project, relaxed with GGA+U.
Intensities are scaled so that the largest is 100.

Atomic structure:
a b c (Å): 5.797 5.797 8.233
angles (deg): 90.00 90.00 90.00
Positions (direct):
1 Li 0.000 0.246 0.000
2 Li 0.000 0.754 0.500
3 Li 0.246 0.000 0.750
4 Li 0.250 0.500 0.250
5 Li 0.250 0.500 0.750
6 Li 0.500 0.250 0.000
7 Li 0.500 0.250 0.500
8 Li 0.500 0.750 0.000
9 Li 0.500 0.750 0.500
10 Li 0.750 0.500 0.250
11 Li 0.750 0.500 0.750
12 Li 0.754 0.000 0.250
13 Cr 0.000 0.276 0.500
14 Cr 0.000 0.724 0.000
15 Cr 0.276 0.000 0.250
16 Cr 0.724 0.000 0.750
17 O 0.008 0.230 0.271
18 O 0.008 0.770 0.229
19 O 0.229 0.479 0.507
20 O 0.229 0.521 0.993
21 O 0.230 0.008 0.479
22 O 0.230 0.992 0.021
23 O 0.479 0.229 0.243
24 O 0.479 0.771 0.257
25 O 0.521 0.229 0.757
26 O 0.521 0.771 0.743
27 O 0.770 0.008 0.521
28 O 0.770 0.992 0.979
29 O 0.771 0.479 0.493
30 O 0.771 0.521 0.007
31 O 0.992 0.230 0.729
32 O 0.992 0.770 0.771

Peak list (6 most intense, 15 to 90 degrees two-theta, by angle)
two_theta  d (Å)  Rel. int.
15.29  5.797  59.0
18.72  4.740  100.0
24.26  3.669  95.8
26.56  3.356  56.6
44.00  2.058  48.3
44.19  2.049  92.7


# LiCr10O15
Computed powder XRD pattern, copper Kα. Input: a crystal structure in the Materials Project, relaxed with GGA+U.
Intensities are scaled so that the largest is 100.

Atomic structure:
a b c (Å): 7.780 7.780 9.446
angles (deg): 90.00 90.00 83.74
Positions (direct):
1 Li 0.000 0.000 0.000
2 Li 0.500 0.500 0.500
3 Cr 0.044 0.209 0.647
4 Cr 0.081 0.402 0.113
5 Cr 0.098 0.419 0.387
6 Cr 0.188 0.812 0.633
7 Cr 0.209 0.044 0.353
8 Cr 0.291 0.456 0.853
9 Cr 0.312 0.688 0.133
10 Cr 0.402 0.081 0.887
11 Cr 0.419 0.098 0.613
12 Cr 0.456 0.291 0.147
13 Cr 0.544 0.709 0.853
14 Cr 0.581 0.902 0.387
15 Cr 0.598 0.919 0.113
16 Cr 0.688 0.312 0.867
17 Cr 0.709 0.544 0.147
18 Cr 0.791 0.956 0.647
19 Cr 0.812 0.188 0.367
20 Cr 0.902 0.581 0.613
21 Cr 0.919 0.598 0.887
22 Cr 0.956 0.791 0.353
23 O 0.000 0.000 0.500
24 O 0.039 0.225 0.261
25 O 0.066 0.434 0.750
26 O 0.101 0.639 0.492
27 O 0.139 0.601 0.992
28 O 0.139 0.861 0.229
29 O 0.225 0.039 0.739
30 O 0.242 0.242 0.500
31 O 0.258 0.258 0.000
32 O 0.275 0.461 0.239
33 O 0.361 0.639 0.729
34 O 0.361 0.899 0.492
35 O 0.399 0.861 0.992
36 O 0.434 0.066 0.250
37 O 0.461 0.275 0.761
38 O 0.500 0.500 0.000
39 O 0.539 0.725 0.239
40 O 0.566 0.934 0.750
41 O 0.601 0.139 0.008
42 O 0.639 0.101 0.508
43 O 0.639 0.361 0.271
44 O 0.725 0.539 0.761
45 O 0.742 0.742 0.000
46 O 0.758 0.758 0.500
47 O 0.775 0.961 0.261
48 O 0.861 0.139 0.771
49 O 0.861 0.399 0.008
50 O 0.899 0.361 0.508
51 O 0.934 0.566 0.250
52 O 0.961 0.775 0.739

Peak list (6 most intense, 15 to 90 degrees two-theta, by angle)
two_theta  d (Å)  Rel. int.
15.29  5.794  59.3
31.13  2.873  99.0
33.00  2.714  57.0
36.79  2.443  78.4
46.02  1.972  100.0
62.51  1.486  56.3